# ThBiSe4
Simulated powder diffractogram, Cu Kα, 1.54184 Å. Input: a cell relaxed with GGA-PBE.
Peak positions follow from Bragg's law for the DFT cell and can differ from measured ones.

The 6 most intense peaks (2θ from 10° to 90°), low angle first:
hkl  d [Å]  intensity
1 1 -1  4.210  974
1 1 1  4.035  903
2 0 0  3.543  923
0 2 2  2.534  480
1 1 3  2.133  1000
3 1 1  2.104  770

Cell and atoms:
Unit cell a=7.090 b=7.099 c=7.250 alpha=90.00 beta=93.68 gamma=90.00
Positions (direct):
Th: 0.000 0.000 0.000
Th: 0.000 0.500 0.500
Bi: 0.500 0.000 0.500
Bi: 0.500 0.500 0.000
Se: 0.136 0.148 0.352
Se: 0.136 0.352 0.852
Se: 0.374 0.621 0.371
Se: 0.374 0.879 0.871
Se: 0.626 0.121 0.129
Se: 0.626 0.379 0.629
Se: 0.864 0.648 0.148
Se: 0.864 0.852 0.648